No. 1
This entry pairs a crystal structure of Pu6TcPd3 with its calculated powder XRD pattern. Radiation: Cu Kα (weighted mean of Kα1 and Kα2). Structure: a PBE-relaxed structure.
Lines closer than 0.1° are merged.

Largest 10 diffraction maxima, low angle first, 5° ≤ 2θ ≤ 70°:
d 6.620, 13.37 deg, I = 39; d 4.602, 19.29 deg, I = 32; d 2.605, 34.43 deg, I = 20; d 2.454, 36.62 deg, I = 19; d 2.413, 37.26 deg, I = 100; d 2.385, 37.72 deg, I = 24; d 2.330, 38.63 deg, I = 40; d 2.207, 40.90 deg, I = 24; d 2.153, 41.97 deg, I = 22; d 1.498, 61.94 deg, I = 20

Atomic structure:
```
Pu6TcPd3
1.0
5.6676 0.0000 0.0000
-2.8338 4.9083 0.0000
0.0000 0.0000 13.2400
Pu Tc Pd
12 2 6
direct
0.1359 0.3657 0.3353 Pu
0.1359 0.7701 0.1647 Pu
0.2299 0.3657 0.1647 Pu
0.2299 0.8641 0.3353 Pu
0.3657 0.1359 0.6647 Pu
0.3657 0.2299 0.8353 Pu
0.6343 0.7701 0.3353 Pu
0.6343 0.8641 0.1647 Pu
0.7701 0.1359 0.8353 Pu
0.7701 0.6343 0.6647 Pu
0.8641 0.2299 0.6647 Pu
0.8641 0.6343 0.8353 Pu
0.3333 0.6667 0.7500 Tc
0.6667 0.3333 0.2500 Tc
0.0000 0.0000 0.0000 Pd
0.0000 0.0000 0.5000 Pd
0.3333 0.6667 0.5415 Pd
0.3333 0.6667 0.9585 Pd
0.6667 0.3333 0.0415 Pd
0.6667 0.3333 0.4585 Pd
```


No. 2
This entry pairs a crystal structure of Pu4Tc2Pd with its calculated powder XRD pattern. Radiation: Cu Kα (weighted mean of Kα1 and Kα2). Structure: a PBE-relaxed structure.
Lines closer than 0.1° are merged.

Largest 10 diffraction maxima, low angle first, 5° ≤ 2θ ≤ 70°:
d 3.455, 25.79 deg, I = 22; d 2.983, 29.95 deg, I = 23; d 2.678, 33.46 deg, I = 100; d 2.659, 33.70 deg, I = 53; d 2.261, 39.86 deg, I = 92; d 2.252, 40.03 deg, I = 19; d 1.727, 53.01 deg, I = 19; d 1.662, 55.29 deg, I = 24; d 1.653, 55.59 deg, I = 17; d 1.374, 68.26 deg, I = 15

Atomic structure:
```
Pu4Tc2Pd
1.0
-4.2373 4.2373 4.2010
4.2373 -4.2373 4.2010
4.2373 4.2373 -4.2010
Pu Tc Pd
8 4 2
direct
0.1356 0.7357 0.7402 Pu
0.1454 0.2456 0.7598 Pu
0.2643 0.0044 0.3998 Pu
0.4857 0.3856 0.2402 Pu
0.6046 0.8644 0.6002 Pu
0.6144 0.8546 0.1002 Pu
0.7544 0.5143 0.8998 Pu
0.9956 0.3954 0.2598 Pu
0.2124 0.6250 0.0874 Tc
0.3750 0.4624 0.5874 Tc
0.5376 0.1250 0.9126 Tc
0.8750 0.7876 0.4126 Tc
0.0000 0.0000 0.0000 Pd
0.7500 0.2500 0.5000 Pd
```


No. 3
This entry pairs a crystal structure of PuTePd4 with its calculated powder XRD pattern. Radiation: Cu Kα (weighted mean of Kα1 and Kα2). Structure: a PBE-relaxed structure.
Lines closer than 0.1° are merged.

Largest 10 diffraction maxima, low angle first, 5° ≤ 2θ ≤ 70°:
d 2.833, 31.58 deg, I = 35; d 2.639, 33.97 deg, I = 82; d 2.589, 34.64 deg, I = 47; d 2.419, 37.16 deg, I = 33; d 2.233, 40.39 deg, I = 100; d 2.111, 42.84 deg, I = 41; d 1.910, 47.61 deg, I = 26; d 1.591, 57.98 deg, I = 18; d 1.416, 65.95 deg, I = 19; d 1.351, 69.58 deg, I = 14

Atomic structure:
```
PuTePd4
1.0
7.6400 0.0000 0.0000
0.0000 4.2221 0.0000
0.0000 0.0000 7.2579
Pu Te Pd
2 2 8
direct
0.2500 0.0000 0.1594 Pu
0.7500 0.0000 0.8406 Pu
0.2500 0.0000 0.7440 Te
0.7500 0.0000 0.2560 Te
0.0000 0.0000 0.5000 Pd
0.0313 0.5000 0.8077 Pd
0.2500 0.5000 0.4485 Pd
0.4687 0.5000 0.8077 Pd
0.5000 0.0000 0.5000 Pd
0.5313 0.5000 0.1923 Pd
0.7500 0.5000 0.5515 Pd
0.9687 0.5000 0.1923 Pd
```


No. 4
This entry pairs a crystal structure of Pu2Te3Pd with its calculated powder XRD pattern. Radiation: Cu Kα (weighted mean of Kα1 and Kα2). Structure: a PBE-relaxed structure.
Lines closer than 0.1° are merged.

Largest 10 diffraction maxima, low angle first, 5° ≤ 2θ ≤ 70°:
d 6.216, 14.25 deg, I = 25; d 3.108, 28.72 deg, I = 19; d 3.044, 29.34 deg, I = 38; d 2.873, 31.13 deg, I = 26; d 2.788, 32.11 deg, I = 100; d 2.770, 32.32 deg, I = 42; d 2.446, 36.74 deg, I = 15; d 2.198, 41.06 deg, I = 28; d 2.143, 42.17 deg, I = 33; d 1.988, 45.63 deg, I = 19

Atomic structure:
```
Pu2Te3Pd
1.0
7.7427 0.0000 0.0000
0.0000 4.2858 0.0000
0.0000 0.0000 20.8544
Pu Te Pd
8 12 4
direct
0.1275 0.2500 0.1924 Pu
0.2197 0.7500 0.5033 Pu
0.2803 0.2500 0.0033 Pu
0.3725 0.7500 0.6924 Pu
0.6275 0.2500 0.3076 Pu
0.7197 0.7500 0.9967 Pu
0.7803 0.2500 0.4967 Pu
0.8725 0.7500 0.8076 Pu
0.0664 0.7500 0.0799 Te
0.1045 0.2500 0.4043 Te
0.1252 0.2500 0.7491 Te
0.3748 0.7500 0.2491 Te
0.3955 0.7500 0.9043 Te
0.4336 0.2500 0.5799 Te
0.5664 0.7500 0.4201 Te
0.6045 0.2500 0.0957 Te
0.6252 0.2500 0.7509 Te
0.8748 0.7500 0.2509 Te
0.8955 0.7500 0.5957 Te
0.9336 0.2500 0.9201 Te
0.0991 0.2500 0.6167 Pd
0.4009 0.7500 0.1167 Pd
0.5991 0.2500 0.8833 Pd
0.9009 0.7500 0.3833 Pd
```


No. 5
This entry pairs a crystal structure of PuTePd4 with its calculated powder XRD pattern. Radiation: Cu Kα (weighted mean of Kα1 and Kα2). Structure: a PBE-relaxed structure.
Lines closer than 0.1° are merged.

Largest 10 diffraction maxima, low angle first, 5° ≤ 2θ ≤ 70°:
d 4.436, 20.02 deg, I = 6; d 3.842, 23.15 deg, I = 4; d 2.716, 32.97 deg, I = 44; d 2.317, 38.87 deg, I = 100; d 2.218, 40.68 deg, I = 26; d 1.763, 51.87 deg, I = 1; d 1.718, 53.32 deg, I = 3; d 1.568, 58.88 deg, I = 17; d 1.479, 62.85 deg, I = 32; d 1.358, 69.16 deg, I = 25

Atomic structure:
```
PuTePd4
1.0
0.0000 3.8417 3.8417
3.8417 0.0000 3.8417
3.8417 3.8417 0.0000
Pu Te Pd
1 1 4
direct
0.0000 0.0000 0.0000 Pu
0.7500 0.7500 0.7500 Te
0.3741 0.3741 0.3741 Pd
0.3741 0.3741 0.8776 Pd
0.3741 0.8776 0.3741 Pd
0.8776 0.3741 0.3741 Pd
```


No. 6
This entry pairs a crystal structure of Pu4Te8Pd3 with its calculated powder XRD pattern. Radiation: Cu Kα (weighted mean of Kα1 and Kα2). Structure: a PBE-relaxed structure.
Lines closer than 0.1° are merged.

Largest 10 diffraction maxima, low angle first, 5° ≤ 2θ ≤ 70°:
d 4.041, 22.00 deg, I = 19; d 2.626, 34.14 deg, I = 100; d 2.570, 34.91 deg, I = 20; d 2.237, 40.32 deg, I = 41; d 1.736, 52.73 deg, I = 13; d 1.687, 54.38 deg, I = 12; d 1.622, 56.77 deg, I = 13; d 1.582, 58.34 deg, I = 14; d 1.371, 68.40 deg, I = 12; d 1.355, 69.36 deg, I = 26

Atomic structure:
```
Pu4Te8Pd3
1.0
4.4738 0.0000 0.0000
0.0000 4.4738 0.0000
0.0000 0.0000 18.8371
Pu Te Pd
4 8 3
direct
0.0000 0.5000 0.1215 Pu
0.0000 0.5000 0.6296 Pu
0.5000 0.0000 0.3704 Pu
0.5000 0.0000 0.8785 Pu
0.0000 0.0000 0.2427 Te
0.0000 0.0000 0.7573 Te
0.0000 0.5000 0.4113 Te
0.0000 0.5000 0.9214 Te
0.5000 0.0000 0.0786 Te
0.5000 0.0000 0.5887 Te
0.5000 0.5000 0.2438 Te
0.5000 0.5000 0.7562 Te
0.0000 0.0000 0.0000 Pd
0.0000 0.0000 0.5000 Pd
0.5000 0.5000 0.5000 Pd
```


No. 7
This entry pairs a crystal structure of Pu3TlPd3 with its calculated powder XRD pattern. Radiation: Cu Kα (weighted mean of Kα1 and Kα2). Structure: a PBE-relaxed structure.
Lines closer than 0.1° are merged.

Largest 10 diffraction maxima, low angle first, 5° ≤ 2θ ≤ 70°:
d 3.245, 27.49 deg, I = 25; d 2.963, 30.16 deg, I = 12; d 2.749, 32.57 deg, I = 32; d 2.555, 35.12 deg, I = 32; d 2.421, 37.13 deg, I = 100; d 1.872, 48.64 deg, I = 21; d 1.713, 53.48 deg, I = 5; d 1.587, 58.12 deg, I = 22; d 1.448, 64.33 deg, I = 20; d 1.348, 69.74 deg, I = 15

Atomic structure:
```
Pu3TlPd3
1.0
8.3997 0.0000 0.0000
-4.1999 7.2744 0.0000
0.0000 0.0000 5.1110
Pu Tl Pd
6 2 6
direct
0.0888 0.6610 0.2500 Pu
0.3390 0.4278 0.2500 Pu
0.4278 0.0888 0.7500 Pu
0.5722 0.9112 0.2500 Pu
0.6610 0.5722 0.7500 Pu
0.9112 0.3390 0.7500 Pu
0.3333 0.6667 0.7500 Tl
0.6667 0.3333 0.2500 Tl
0.0451 0.8283 0.7500 Pd
0.1717 0.2169 0.7500 Pd
0.2169 0.0451 0.2500 Pd
0.7831 0.9549 0.7500 Pd
0.8283 0.7831 0.2500 Pd
0.9549 0.1717 0.2500 Pd
```


No. 8
This entry pairs a crystal structure of Pu3Tl2Pd3 with its calculated powder XRD pattern. Radiation: Cu Kα (weighted mean of Kα1 and Kα2). Structure: a PBE-relaxed structure.
Lines closer than 0.1° are merged.

Largest 10 diffraction maxima, low angle first, 5° ≤ 2θ ≤ 70°:
d 3.434, 25.94 deg, I = 8; d 3.240, 27.53 deg, I = 16; d 2.604, 34.44 deg, I = 20; d 2.576, 34.83 deg, I = 33; d 2.524, 35.58 deg, I = 100; d 1.831, 49.79 deg, I = 14; d 1.741, 52.56 deg, I = 9; d 1.488, 62.43 deg, I = 9; d 1.477, 62.94 deg, I = 19; d 1.442, 64.62 deg, I = 11

Atomic structure:
```
Pu3Tl2Pd3
1.0
-1.7411 2.5753 10.4172
1.7411 -2.5753 10.4172
1.7411 2.5753 -10.4172
Pu Tl Pd
3 2 3
direct
0.0000 0.0000 0.0000 Pu
0.3805 0.8805 0.5000 Pu
0.6195 0.1195 0.5000 Pu
0.2284 0.2284 0.0000 Tl
0.7716 0.7716 0.0000 Tl
0.1141 0.6141 0.5000 Pd
0.5000 0.5000 0.0000 Pd
0.8859 0.3859 0.5000 Pd
```


No. 9
This entry pairs a crystal structure of Pu6TlPd6 with its calculated powder XRD pattern. Radiation: Cu Kα (weighted mean of Kα1 and Kα2). Structure: a PBE-relaxed structure.
Lines closer than 0.1° are merged.

Largest 10 diffraction maxima, low angle first, 5° ≤ 2θ ≤ 70°:
d 2.916, 30.66 deg, I = 54; d 2.828, 31.64 deg, I = 100; d 2.564, 34.99 deg, I = 52; d 2.535, 35.41 deg, I = 47; d 2.520, 35.62 deg, I = 40; d 2.477, 36.27 deg, I = 87; d 2.247, 40.13 deg, I = 75; d 2.193, 41.17 deg, I = 38; d 1.463, 63.59 deg, I = 48; d 1.414, 66.07 deg, I = 33

Atomic structure:
```
Pu6TlPd6
1.0
-2.9163 4.8509 5.1288
2.9163 -4.8509 5.1288
2.9163 4.8509 -5.1288
Pu Tl Pd
6 1 6
direct
0.1606 0.5000 0.6606 Pu
0.1717 0.1717 0.0000 Pu
0.3296 0.0000 0.3296 Pu
0.6704 0.0000 0.6704 Pu
0.8283 0.8283 0.0000 Pu
0.8394 0.5000 0.3394 Pu
0.5000 0.5000 0.0000 Tl
0.0000 0.0000 0.5000 Pd
0.0000 0.5000 0.0000 Pd
0.2518 0.7518 0.5000 Pd
0.5000 0.0000 0.0000 Pd
0.5000 0.5000 0.5000 Pd
0.7482 0.2482 0.5000 Pd
```


No. 10
This entry pairs a crystal structure of Pu2TlPd6 with its calculated powder XRD pattern. Radiation: Cu Kα (weighted mean of Kα1 and Kα2). Structure: a PBE-relaxed structure.
Lines closer than 0.1° are merged.

Largest 10 diffraction maxima, low angle first, 5° ≤ 2θ ≤ 70°:
d 3.897, 22.82 deg, I = 22; d 2.883, 31.02 deg, I = 22; d 2.644, 33.90 deg, I = 49; d 2.617, 34.27 deg, I = 31; d 2.318, 38.85 deg, I = 100; d 1.949, 46.61 deg, I = 27; d 1.918, 47.39 deg, I = 17; d 1.615, 57.04 deg, I = 15; d 1.442, 64.65 deg, I = 22; d 1.397, 66.98 deg, I = 19

Atomic structure:
```
Pu2TlPd6
1.0
5.7666 0.0000 0.0000
-2.8833 4.9940 0.0000
0.0000 0.0000 6.2333
Pu Tl Pd
2 1 6
direct
0.3333 0.6667 0.2956 Pu
0.6667 0.3333 0.7044 Pu
0.0000 0.0000 0.5000 Tl
0.1760 0.3519 0.8282 Pd
0.1760 0.8240 0.8282 Pd
0.3519 0.1760 0.1718 Pd
0.6481 0.8240 0.8282 Pd
0.8240 0.1760 0.1718 Pd
0.8240 0.6481 0.1718 Pd
```


No. 11
This entry pairs a crystal structure of Tm2PuPd3 with its calculated powder XRD pattern. Radiation: Cu Kα (weighted mean of Kα1 and Kα2). Structure: a PBE-relaxed structure.
Lines closer than 0.1° are merged.

Largest 10 diffraction maxima, low angle first, 5° ≤ 2θ ≤ 70°:
d 3.592, 24.79 deg, I = 5; d 3.427, 26.00 deg, I = 9; d 2.480, 36.23 deg, I = 100; d 2.423, 37.10 deg, I = 48; d 2.009, 45.13 deg, I = 5; d 1.796, 50.84 deg, I = 9; d 1.714, 53.47 deg, I = 17; d 1.591, 57.97 deg, I = 3; d 1.443, 64.59 deg, I = 17; d 1.410, 66.31 deg, I = 34

Atomic structure:
```
Tm2PuPd3
1.0
3.4271 0.0000 0.0000
0.0000 3.4271 0.0000
0.0000 0.0000 10.7762
Tm Pu Pd
2 1 3
direct
0.0000 0.0000 0.1644 Tm
0.0000 0.0000 0.8356 Tm
0.0000 0.0000 0.5000 Pu
0.5000 0.5000 0.0000 Pd
0.5000 0.5000 0.3147 Pd
0.5000 0.5000 0.6853 Pd
```


No. 12
This entry pairs a crystal structure of Pu2VPd9 with its calculated powder XRD pattern. Radiation: Cu Kα (weighted mean of Kα1 and Kα2). Structure: a PBE-relaxed structure.
Lines closer than 0.1° are merged.

Largest 10 diffraction maxima, low angle first, 5° ≤ 2θ ≤ 70°:
d 12.182, 7.26 deg, I = 7; d 4.068, 21.85 deg, I = 5; d 3.861, 23.03 deg, I = 5; d 3.385, 26.33 deg, I = 5; d 2.603, 34.46 deg, I = 6; d 2.437, 36.88 deg, I = 5; d 2.349, 38.32 deg, I = 100; d 2.036, 44.51 deg, I = 34; d 2.030, 44.63 deg, I = 15; d 1.438, 64.82 deg, I = 30

Atomic structure:
```
Pu2VPd9
1.0
4.0714 0.0000 0.0000
0.0000 4.0714 0.0000
0.0000 0.0000 12.1824
Pu V Pd
2 1 9
direct
0.0000 0.0000 0.1734 Pu
0.0000 0.0000 0.8266 Pu
0.0000 0.0000 0.5000 V
0.0000 0.5000 0.0000 Pd
0.0000 0.5000 0.3489 Pd
0.0000 0.5000 0.6511 Pd
0.5000 0.0000 0.0000 Pd
0.5000 0.0000 0.3489 Pd
0.5000 0.0000 0.6511 Pd
0.5000 0.5000 0.1746 Pd
0.5000 0.5000 0.5000 Pd
0.5000 0.5000 0.8254 Pd
```